Entry 1:
# Pr2SmDy2Y6
Computed PXRD pattern, Cu Kα (weighted mean of Kα1 and Kα2). Input: a DFT-relaxed cell (PBE, Alexandria).
Peak positions follow from Bragg's law for the DFT cell and can differ from measured ones.

The 10 most intense peaks (10 to 80 degrees two-theta), in order of falling intensity:
2θ 31.88, d 2.808, rel. 1000
2θ 31.34, d 2.854, rel. 368
2θ 56.15, d 1.638, rel. 253
2θ 30.42, d 2.939, rel. 253
2θ 30.69, d 2.913, rel. 207
2θ 33.43, d 2.681, rel. 201
2θ 46.48, d 1.954, rel. 159
2θ 44.44, d 2.039, rel. 149
2θ 61.76, d 1.502, rel. 137
2θ 62.23, d 1.492, rel. 117

Atomic structure:
Cell: 6.6932 6.6932 10.7228 Å, 90.00 90.00 129.52°
Atoms (fractional coordinates):
Pr1 0.1348 0.8652 0.0000
Pr2 0.8652 0.1348 0.0000
Sm1 0.5000 0.5000 0.5000
Dy1 0.2043 0.7957 0.5000
Dy2 0.7957 0.2043 0.5000
Y1 0.0000 0.0000 0.2938
Y2 0.0000 0.0000 0.7062
Y3 0.3468 0.6532 0.2121
Y4 0.3468 0.6532 0.7879
Y5 0.6532 0.3468 0.2121
Y6 0.6532 0.3468 0.7879

---

Entry 2:
# LaTb4S7
Computed PXRD pattern, Cu Kα (weighted mean of Kα1 and Kα2). Input: a DFT-relaxed cell (PBE, Alexandria).
Peak positions follow from Bragg's law for the DFT cell and can differ from measured ones.

The 10 most intense peaks (10 to 80 degrees two-theta), in order of falling intensity:
2θ 24.09, d 3.694, rel. 1000
2θ 23.43, d 3.797, rel. 915
2θ 32.62, d 2.745, rel. 574
2θ 30.99, d 2.885, rel. 425
2θ 33.63, d 2.665, rel. 400
2θ 27.15, d 3.284, rel. 389
2θ 46.57, d 1.950, rel. 332
2θ 25.90, d 3.440, rel. 309
2θ 41.41, d 2.180, rel. 274
2θ 38.48, d 2.339, rel. 273

Atomic structure:
Cell: 6.8489 6.8489 11.7709 Å, 103.92 103.92 32.73°
Atoms (fractional coordinates):
La1 0.0000 0.0000 0.0000
Tb1 0.1122 0.1122 0.4221
Tb2 0.2229 0.2229 0.8346
Tb3 0.4109 0.4109 0.6050
Tb4 0.8119 0.8119 0.2357
S1 0.0667 0.0667 0.6334
S2 0.1583 0.1583 0.2118
S3 0.3616 0.3616 0.0689
S4 0.4543 0.4543 0.3696
S5 0.6157 0.6157 0.9127
S6 0.7703 0.7703 0.4703
S7 0.8487 0.8487 0.7649

---

Entry 3:
# NaSiSe2O8
Computed PXRD pattern, Cu Kα (weighted mean of Kα1 and Kα2). Input: a DFT-relaxed cell (PBE, Alexandria).
Peak positions follow from Bragg's law for the DFT cell and can differ from measured ones.

The 10 most intense peaks (10 to 80 degrees two-theta), in order of falling intensity:
2θ 15.21, d 5.826, rel. 1000
2θ 33.40, d 2.682, rel. 322
2θ 32.69, d 2.739, rel. 235
2θ 33.23, d 2.696, rel. 193
2θ 34.43, d 2.605, rel. 183
2θ 26.64, d 3.347, rel. 182
2θ 25.63, d 3.476, rel. 149
2θ 23.01, d 3.866, rel. 134
2θ 38.90, d 2.315, rel. 132
2θ 36.73, d 2.447, rel. 115

Atomic structure:
Cell: 5.5839 5.5839 5.9723 Å, 101.12 101.12 57.74°
Atoms (fractional coordinates):
Na1 0.0000 0.0000 0.0000
Si1 0.5000 0.5000 0.5000
Se1 0.1885 0.1885 0.6070
Se2 0.8115 0.8115 0.3930
O1 0.1599 0.6460 0.3023
O2 0.1621 0.1621 0.3290
O3 0.3540 0.8401 0.6977
O4 0.3824 0.3824 0.6966
O5 0.6176 0.6176 0.3034
O6 0.6460 0.1599 0.3023
O7 0.8379 0.8379 0.6710
O8 0.8401 0.3540 0.6977

---

Entry 4:
# TlAg3S3
Computed PXRD pattern, Cu Kα (weighted mean of Kα1 and Kα2). Input: a DFT-relaxed cell (PBE, Alexandria).
Peak positions follow from Bragg's law for the DFT cell and can differ from measured ones.

The 10 most intense peaks (10 to 80 degrees two-theta), in order of falling intensity:
2θ 27.97, d 3.190, rel. 1000
2θ 35.84, d 2.505, rel. 771
2θ 22.16, d 4.011, rel. 482
2θ 38.63, d 2.331, rel. 400
2θ 39.36, d 2.289, rel. 396
2θ 25.58, d 3.482, rel. 280
2θ 43.77, d 2.068, rel. 236
2θ 16.59, d 5.344, rel. 217
2θ 38.52, d 2.337, rel. 215
2θ 52.75, d 1.735, rel. 172

Atomic structure:
Cell: 8.1403 8.1403 8.1403 Å, 52.22 52.22 52.22°
Atoms (fractional coordinates):
Tl1 0.1673 0.1673 0.1673
Tl2 0.8327 0.8327 0.8327
Ag1 0.1386 0.3722 0.6284
Ag2 0.3722 0.6284 0.1386
Ag3 0.3716 0.8614 0.6278
Ag4 0.6284 0.1386 0.3722
Ag5 0.6278 0.3716 0.8614
Ag6 0.8614 0.6278 0.3716
S1 0.0269 0.8045 0.4221
S2 0.1955 0.5779 0.9731
S3 0.4221 0.0269 0.8045
S4 0.5779 0.9731 0.1955
S5 0.8045 0.4221 0.0269
S6 0.9731 0.1955 0.5779

---

Entry 5:
# CeYSiAg
Computed PXRD pattern, Cu Kα (weighted mean of Kα1 and Kα2). Input: a DFT-relaxed cell (PBE, Alexandria).
Peak positions follow from Bragg's law for the DFT cell and can differ from measured ones.

The 10 most intense peaks (10 to 80 degrees two-theta), in order of falling intensity:
2θ 35.03, d 2.561, rel. 1000
2θ 62.84, d 1.479, rel. 351
2θ 50.38, d 1.811, rel. 173
2θ 21.24, d 4.183, rel. 156
2θ 74.02, d 1.281, rel. 107
2θ 41.33, d 2.184, rel. 86
2θ 24.58, d 3.622, rel. 70
2θ 55.27, d 1.662, rel. 36
2θ 56.84, d 1.620, rel. 30
2θ 67.14, d 1.394, rel. 26

Atomic structure:
Cell: 5.1226 5.1226 5.1226 Å, 60.00 60.00 60.00°
Atoms (fractional coordinates):
Ce1 0.0000 0.0000 0.0000
Y1 0.5000 0.5000 0.5000
Si1 0.2500 0.2500 0.2500
Ag1 0.7500 0.7500 0.7500

---

Entry 6:
# LaPm4Pr2Ho2
Computed PXRD pattern, Cu Kα (weighted mean of Kα1 and Kα2). Input: a DFT-relaxed cell (PBE, Alexandria).
Peak positions follow from Bragg's law for the DFT cell and can differ from measured ones.

The 10 most intense peaks (10 to 80 degrees two-theta), in order of falling intensity:
2θ 29.99, d 2.980, rel. 1000
2θ 34.73, d 2.583, rel. 339
2θ 49.97, d 1.825, rel. 303
2θ 59.34, d 1.557, rel. 289
2θ 34.85, d 2.575, rel. 168
2θ 59.51, d 1.553, rel. 143
2θ 62.33, d 1.490, rel. 124
2θ 50.07, d 1.822, rel. 60
2θ 73.29, d 1.292, rel. 39
2θ 73.58, d 1.287, rel. 19

Atomic structure:
Cell: 8.1709 8.1709 8.1495 Å, 107.62 107.62 36.85°
Atoms (fractional coordinates):
La1 0.0000 0.0000 0.0000
Pm1 0.2218 0.2218 0.3305
Pm2 0.4438 0.4438 0.6677
Pm3 0.5562 0.5562 0.3323
Pm4 0.7782 0.7782 0.6695
Pr1 0.1118 0.1118 0.6670
Pr2 0.8882 0.8882 0.3330
Ho1 0.3314 0.3314 0.0004
Ho2 0.6686 0.6686 0.9996

---

Entry 7:
# Sc6SiBi2
Computed PXRD pattern, Cu Kα (weighted mean of Kα1 and Kα2). Input: a DFT-relaxed cell (PBE, Alexandria).
Peak positions follow from Bragg's law for the DFT cell and can differ from measured ones.

The 10 most intense peaks (10 to 80 degrees two-theta), in order of falling intensity:
2θ 32.10, d 2.788, rel. 1000
2θ 22.97, d 3.873, rel. 653
2θ 34.85, d 2.575, rel. 455
2θ 40.34, d 2.236, rel. 423
2θ 13.20, d 6.707, rel. 399
2θ 42.15, d 2.144, rel. 385
2θ 22.12, d 4.018, rel. 301
2θ 35.41, d 2.535, rel. 289
2θ 68.19, d 1.375, rel. 268
2θ 62.12, d 1.494, rel. 236

Atomic structure:
Cell: 7.7450 7.7450 4.0179 Å, 90.00 90.00 120.00°
Atoms (fractional coordinates):
Sc1 0.0000 0.2394 0.0000
Sc2 0.0000 0.6136 0.5000
Sc3 0.2394 0.0000 0.0000
Sc4 0.3864 0.3864 0.5000
Sc5 0.6136 0.0000 0.5000
Sc6 0.7606 0.7606 0.0000
Si1 0.0000 0.0000 0.5000
Bi1 0.3333 0.6667 0.0000
Bi2 0.6667 0.3333 0.0000

---

Entry 8:
# La3InCo
Computed PXRD pattern, Cu Kα (weighted mean of Kα1 and Kα2). Input: a DFT-relaxed cell (PBE, Alexandria).
Peak positions follow from Bragg's law for the DFT cell and can differ from measured ones.

The 10 most intense peaks (10 to 80 degrees two-theta), in order of falling intensity:
2θ 29.48, d 3.029, rel. 1000
2θ 30.84, d 2.899, rel. 552
2θ 33.94, d 2.641, rel. 544
2θ 30.42, d 2.939, rel. 465
2θ 33.66, d 2.662, rel. 440
2θ 27.23, d 3.275, rel. 437
2θ 36.71, d 2.448, rel. 400
2θ 32.19, d 2.781, rel. 252
2θ 44.14, d 2.052, rel. 238
2θ 30.20, d 2.960, rel. 238

Atomic structure:
Cell: 9.9435 6.2362 10.6643 Å, 90.00 119.06 90.00°
Atoms (fractional coordinates):
La1 0.0464 0.0983 0.3202
La2 0.0464 0.4017 0.8202
La3 0.3116 0.1865 0.6859
La4 0.3116 0.3135 0.1859
La5 0.3878 0.7390 0.9267
La6 0.3878 0.7610 0.4267
La7 0.6122 0.2390 0.5733
La8 0.6122 0.2610 0.0733
La9 0.6884 0.6865 0.8141
La10 0.6884 0.8135 0.3141
La11 0.9536 0.5983 0.1798
La12 0.9536 0.9017 0.6798
In1 0.1461 0.6459 0.5450
In2 0.1461 0.8541 0.0450
In3 0.8539 0.1459 0.9550
In4 0.8539 0.3541 0.4550
Co1 0.2777 0.1482 0.9310
Co2 0.2777 0.3518 0.4310
Co3 0.7223 0.6482 0.5690
Co4 0.7223 0.8518 0.0690

---

Which formula does entry 4 have?
TlAg3S3